LaOsN3: theoretical powder diffraction line list (a wavelength of 1.5418 Å), based on DFT lattice parameters and positions (GGA-PBE).
Neutral-atom scattering factors, no anomalous dispersion.

Principal peaks in the range 10 to 90 degrees two-theta, low angle first:
(1 1 0), 2θ 31.99, I = 100; (1 0 4), 2θ 32.14, I = 100; (0 2 4), 2θ 45.98, I = 49; (3 0 0), 2θ 57.08, I = 61; (0 1 8), 2θ 57.39, I = 20; (2 0 8), 2θ 67.23, I = 15; (1 3 4), 2θ 76.15, I = 17; (1 2 8), 2θ 76.40, I = 17

Atomic structure:
```
data_LaOsN3
_chemical_formula_sum 'La6 Os6 N18'
_cell_length_a 5.5954
_cell_length_b 5.5954
_cell_length_c 13.6136
_cell_angle_alpha 90.00
_cell_angle_beta 90.00
_cell_angle_gamma 120.00
_symmetry_space_group_name_H-M 'R -3 c'
_symmetry_Int_Tables_number 167
_symmetry_space_group_name_Hall '-R 3 2"c'
loop_
_atom_site_label
_atom_site_type_symbol
_atom_site_fract_x
_atom_site_fract_y
_atom_site_fract_z
_atom_site_occupancy
La1 La 0.0000 0.0000 0.2500 1
Os1 Os 0.0000 0.0000 0.0000 1
N1 N 0.0000 0.4561 0.2500 1
```